For TbHoBrNCl2, DFT lattice parameters and positions (GGA-PBE) gives the computed powder diffraction line list in this record (Cu Ka).
Intensities are scaled so that the largest is 100.

The 10 most intense peaks (10 to 90 degrees two-theta), in order of falling intensity:
2θ (°)  I_rel
10.70  100
27.26  77
33.20  41
33.68  36
35.28  33
32.33  30
28.62  27
37.08  24
25.62  23
59.45  19

Structural model:
```
TbHoBrNCl2
1.0
8.514 -1.917 0.000
8.514 1.917 0.000
-6.258 0.000 9.225
Tb Ho Br N Cl
2 2 2 2 4
Cartesian
-1.488 0.000 4.216 Tb
12.258 0.000 5.009 Tb
4.833 0.000 1.926 Ho
5.937 0.000 7.299 Ho
2.238 0.000 3.433 Br
8.532 0.000 5.792 Br
-2.777 0.000 6.059 N
13.547 0.000 3.166 N
2.832 0.000 0.040 Cl
3.189 0.000 6.900 Cl
7.581 0.000 2.325 Cl
7.938 0.000 9.185 Cl
```